[1]
# Mn4FeC2
Simulated powder XRD pattern, Cu Kα X-rays. Input: a structure optimized by DFT (PBE).
Peak positions follow from Bragg's law for the DFT cell and can differ from measured ones.

```
Mn4FeC2
1.0
5.7892 -2.2435 0.0000
5.7892 2.2435 0.0000
-0.6431 0.0000 4.9618
Mn Fe C
8 2 4
direct
0.0000 0.0000 0.0000 Mn
0.0521 0.3825 0.5590 Mn
0.2442 0.5614 0.3368 Mn
0.4168 0.3856 0.8308 Mn
0.4386 0.7558 0.6632 Mn
0.6144 0.5832 0.1692 Mn
0.6175 0.9479 0.4410 Mn
0.8543 0.1457 0.5000 Mn
0.2235 0.2103 0.0606 Fe
0.7897 0.7765 0.9394 Fe
0.2239 0.0062 0.3282 C
0.6288 0.1440 0.1697 C
0.8560 0.3712 0.8303 C
0.9938 0.7761 0.6718 C
```

Peak list (12 most intense, 2θ from 5° to 70°, by angle)
| two_theta | Rel. int. |
| --- | --- |
| 40.20 | 13 |
| 41.46 | 35 |
| 43.27 | 10 |
| 44.31 | 100 |
| 45.13 | 15 |
| 45.66 | 22 |
| 46.04 | 13 |
| 48.03 | 17 |
| 50.17 | 9 |
| 50.62 | 15 |
| 51.70 | 12 |
| 59.11 | 12 |

[2]
# Mn2FeC6N6
Simulated powder XRD pattern, Cu Kα X-rays. Input: a structure optimized by DFT (PBE).
Peak positions follow from Bragg's law for the DFT cell and can differ from measured ones.

```
Mn2FeC6N6
1.0
6.0347 0.0000 0.0000
-3.0173 5.2262 0.0000
0.0000 0.0000 6.4438
Mn Fe C N
2 1 6 6
direct
0.3333 0.6667 0.0000 Mn
0.6667 0.3333 0.0000 Mn
0.0000 0.0000 0.5000 Fe
0.0000 0.2425 0.6791 C
0.0000 0.7575 0.3209 C
0.2425 0.0000 0.6791 C
0.2425 0.2425 0.3209 C
0.7575 0.0000 0.3209 C
0.7575 0.7575 0.6791 C
0.0000 0.3815 0.8096 N
0.0000 0.6185 0.1904 N
0.3815 0.0000 0.8096 N
0.3815 0.3815 0.1904 N
0.6185 0.0000 0.1904 N
0.6185 0.6185 0.8096 N
```

Peak list (12 most intense, 2θ from 5° to 70°, by angle)
| two_theta | Rel. int. |
| --- | --- |
| 13.74 | 8 |
| 21.90 | 100 |
| 29.61 | 16 |
| 32.77 | 24 |
| 37.13 | 13 |
| 40.98 | 46 |
| 48.18 | 14 |
| 52.53 | 13 |
| 55.37 | 10 |
| 64.04 | 9 |
| 66.07 | 8 |
| 68.70 | 8 |

[3]
# PmMnFeC2
Simulated powder XRD pattern, Cu Kα X-rays. Input: a structure optimized by DFT (PBE).
Peak positions follow from Bragg's law for the DFT cell and can differ from measured ones.

```
PmMnFeC2
1.0
3.5032 0.0000 0.0000
0.0000 3.5032 0.0000
0.0000 0.0000 9.9505
Pm Mn Fe C
2 2 2 4
direct
0.0000 0.0000 0.0000 Pm
0.5000 0.5000 0.5000 Pm
0.0000 0.5000 0.7500 Mn
0.5000 0.0000 0.2500 Mn
0.0000 0.5000 0.2500 Fe
0.5000 0.0000 0.7500 Fe
0.0000 0.0000 0.3338 C
0.0000 0.0000 0.6662 C
0.5000 0.5000 0.1662 C
0.5000 0.5000 0.8338 C
```

Peak list (12 most intense, 2θ from 5° to 70°, by angle)
| two_theta | Rel. int. |
| --- | --- |
| 17.83 | 1 |
| 26.98 | 87 |
| 36.11 | 35 |
| 36.26 | 3 |
| 37.33 | 57 |
| 40.69 | 100 |
| 52.22 | 29 |
| 52.91 | 14 |
| 59.75 | 20 |
| 65.13 | 24 |
| 65.94 | 20 |
| 68.03 | 25 |

[4]
# Mn5Fe5Si2C2
Simulated powder XRD pattern, Cu Kα X-rays. Input: a structure optimized by DFT (PBE).
Peak positions follow from Bragg's law for the DFT cell and can differ from measured ones.

```
Mn5Fe5Si2C2
1.0
4.9965 -3.9388 0.0000
4.9965 3.9388 0.0000
0.0000 0.0000 7.3913
Mn Fe Si C
10 10 4 4
direct
0.0118 0.6902 0.1956 Mn
0.0139 0.6872 0.8197 Mn
0.0387 0.9613 0.5000 Mn
0.3098 0.9882 0.1956 Mn
0.3128 0.9861 0.8197 Mn
0.6872 0.0139 0.3197 Mn
0.6902 0.0118 0.6956 Mn
0.9613 0.0387 0.0000 Mn
0.9861 0.3128 0.3197 Mn
0.9882 0.3098 0.6956 Mn
0.1945 0.5636 0.5091 Fe
0.3477 0.6523 0.0078 Fe
0.3751 0.3788 0.2580 Fe
0.3788 0.3751 0.7580 Fe
0.4364 0.8055 0.5091 Fe
0.5636 0.1945 0.0091 Fe
0.6212 0.6249 0.2580 Fe
0.6249 0.6212 0.7580 Fe
0.6523 0.3477 0.5078 Fe
0.8055 0.4364 0.0091 Fe
0.1711 0.3250 0.0077 Si
0.3250 0.1711 0.5077 Si
0.6750 0.8289 0.0077 Si
0.8289 0.6750 0.5077 Si
0.3017 0.6983 0.2967 C
0.3068 0.6932 0.7215 C
0.6932 0.3068 0.2215 C
0.6983 0.3017 0.7967 C
```

Peak list (12 most intense, 2θ from 5° to 70°, by angle)
| two_theta | Rel. int. |
| --- | --- |
| 14.32 | 8 |
| 35.95 | 15 |
| 39.36 | 17 |
| 43.24 | 100 |
| 43.74 | 27 |
| 43.91 | 37 |
| 44.67 | 47 |
| 47.32 | 42 |
| 47.80 | 16 |
| 49.32 | 20 |
| 49.77 | 21 |
| 50.69 | 20 |